Theoretical powder diffractogram
Compound: LiCoPO4
Radiation: Cu Ka
Structure: a DFT-relaxed cell (PBE+U, the Materials Project)

Atomic structure:
a = 5.1014 Å, b = 8.3456 Å, c = 8.8525 Å
α = 78.72°, β = 89.52°, γ = 73.06°
Positions (direct):
Li 0.0000 0.0000 0.0000
Li 0.1116 0.7853 0.3634
Li 0.4966 0.0052 0.4982
Li 0.6110 0.7834 0.8642
Co 0.2050 0.5853 0.0670
Co 0.4012 0.2020 0.7960
Co 0.7077 0.5870 0.5661
Co 0.9005 0.2046 0.2961
P 0.1813 0.6402 0.7229
P 0.4288 0.1493 0.1387
P 0.6808 0.6433 0.2211
P 0.9269 0.1486 0.6394
O 0.0159 0.7031 0.8607
O 0.0921 0.0851 0.5018
O 0.1156 0.0806 0.7906
O 0.1714 0.0826 0.1593
O 0.2775 0.4456 0.7537
O 0.3372 0.3445 0.1048
O 0.4364 0.7095 0.7026
O 0.4875 0.7101 0.0716
O 0.5173 0.7047 0.3599
O 0.5931 0.0839 0.0019
O 0.6162 0.0822 0.2904
O 0.6719 0.0793 0.6597
O 0.7854 0.4486 0.2528
O 0.8296 0.3434 0.6062
O 0.9328 0.7158 0.1988
O 0.9920 0.7094 0.5717

Principal peaks in the range 10° ≤ 2θ ≤ 80°, in order of rising 2θ:
Position (°2θ), intensity
20.44, 100
21.35, 45
21.73, 22
22.75, 95
33.22, 16
35.00, 26
35.23, 50
36.89, 16
36.98, 16
37.27, 18



Theoretical powder diffractogram
Compound: NaVO2
Radiation: Cu Ka
Structure: a DFT-relaxed cell (PBE+U, the Materials Project)

Atomic structure:
a = 3.0579 Å, b = 3.0579 Å, c = 5.6852 Å
α = 104.95°, β = 104.95°, γ = 60.56°
Positions (direct):
Na 0.0000 0.0000 0.0000
V 0.5000 0.5000 0.5000
O 0.2358 0.2358 0.7013
O 0.7642 0.7642 0.2987

Principal peaks in the range 10° ≤ 2θ ≤ 80°, in order of rising 2θ:
Position (°2θ), intensity
16.34, 69
33.02, 18
35.56, 36
40.37, 100
40.96, 47
56.81, 14
57.13, 27
60.00, 13
60.56, 26
75.21, 12



Theoretical powder diffractogram
Compound: Li7NiO4F2
Radiation: Cu Ka
Structure: a DFT-relaxed cell (PBE+U, the Materials Project)

Atomic structure:
a = 5.3045 Å, b = 5.7280 Å, c = 10.1312 Å
α = 75.07°, β = 86.56°, γ = 65.31°
Positions (direct):
Li 0.0000 0.0000 0.0000
Li 0.9998 0.3746 0.0781
Li 0.0583 0.1967 0.4790
Li 0.4279 0.6606 0.7182
Li 0.4706 0.3264 0.3041
Li 0.4756 0.3631 0.9467
Li 0.4837 0.7133 0.4093
Li 0.4958 0.0088 0.1886
Li 0.4976 0.6391 0.0779
Li 0.5566 0.1845 0.6168
Li 0.9198 0.3636 0.7682
Li 0.9231 0.7276 0.5502
Li 0.9794 0.6076 0.2509
Li 0.9806 0.7230 0.8525
Ni 0.4499 0.0123 0.8380
Ni 0.9785 0.0207 0.2664
O 0.1517 0.2401 0.2797
O 0.1797 0.2531 0.9295
O 0.2854 0.7433 0.2255
O 0.3005 0.7644 0.8974
O 0.6288 0.2371 0.7925
O 0.6989 0.7958 0.7231
O 0.7029 0.2496 0.1203
O 0.7641 0.8534 0.3598
F 0.1323 0.3450 0.6062
F 0.2282 0.8208 0.5461
F 0.6625 0.3361 0.4551
F 0.8118 0.7396 0.0603

Principal peaks in the range 10° ≤ 2θ ≤ 80°, in order of rising 2θ:
Position (°2θ), intensity
17.63, 100
18.15, 74
19.97, 83
20.12, 85
21.01, 69
21.86, 61
22.99, 59
28.55, 49
34.05, 91
37.43, 60



Theoretical powder diffractogram
Compound: KSrSmWO6
Radiation: Cu Ka
Structure: a DFT-relaxed cell (PBE+U, the Materials Project)

Atomic structure:
a = 8.4424 Å, b = 8.4424 Å, c = 8.4623 Å
α = 90.00°, β = 90.00°, γ = 90.00°
Positions (direct):
K 0.2500 0.2500 0.2500
K 0.2500 0.7500 0.7500
K 0.7500 0.2500 0.2500
K 0.7500 0.7500 0.7500
Sr 0.2500 0.2500 0.7500
Sr 0.2500 0.7500 0.2500
Sr 0.7500 0.2500 0.7500
Sr 0.7500 0.7500 0.2500
Sm 0.0000 0.0000 0.0000
Sm 0.0000 0.5000 0.5000
Sm 0.5000 0.0000 0.5000
Sm 0.5000 0.5000 0.0000
W 0.0000 0.0000 0.5000
W 0.0000 0.5000 0.0000
W 0.5000 0.0000 0.0000
W 0.5000 0.5000 0.5000
O 0.0238 0.0361 0.7296
O 0.0238 0.4639 0.7704
O 0.0271 0.7285 0.9835
O 0.0271 0.7715 0.5165
O 0.2287 0.0219 0.4744
O 0.2287 0.4781 0.0256
O 0.2713 0.0219 0.0256
O 0.2713 0.4781 0.4744
O 0.4729 0.7285 0.5165
O 0.4729 0.7715 0.9835
O 0.4762 0.0361 0.7704
O 0.4762 0.4639 0.7296
O 0.5238 0.5361 0.2704
O 0.5238 0.9639 0.2296
O 0.5271 0.2285 0.0165
O 0.5271 0.2715 0.4835
O 0.7287 0.5219 0.5256
O 0.7287 0.9781 0.9744
O 0.7713 0.5219 0.9744
O 0.7713 0.9781 0.5256
O 0.9729 0.2285 0.4835
O 0.9729 0.2715 0.0165
O 0.9762 0.5361 0.2296
O 0.9762 0.9639 0.2704

Principal peaks in the range 10° ≤ 2θ ≤ 80°, in order of rising 2θ:
Position (°2θ), intensity
21.03, 35
29.91, 100
42.74, 10
42.85, 19
48.16, 15
53.10, 42
62.15, 18
70.38, 6
70.54, 12
78.42, 6



Theoretical powder diffractogram
Compound: NaNbFeP3O12
Radiation: Cu Ka
Structure: a DFT-relaxed cell (PBE+U, the Materials Project)

Atomic structure:
a = 9.0235 Å, b = 9.0235 Å, c = 9.0235 Å
α = 57.83°, β = 57.83°, γ = 57.83°
Positions (direct):
Na 0.0000 0.0000 0.0000
Na 0.5000 0.5000 0.5000
Nb 0.1484 0.1484 0.1484
Nb 0.6484 0.6484 0.6484
Fe 0.3588 0.3588 0.3588
Fe 0.8588 0.8588 0.8588
P 0.0454 0.4731 0.7501
P 0.2501 0.9731 0.5454
P 0.4731 0.7501 0.0454
P 0.5454 0.2501 0.9731
P 0.7501 0.0454 0.4731
P 0.9731 0.5454 0.2501
O 0.0010 0.3722 0.2241
O 0.0123 0.6356 0.7864
O 0.0630 0.2903 0.9282
O 0.0845 0.9397 0.7234
O 0.1356 0.5123 0.2864
O 0.2234 0.4397 0.5845
O 0.2241 0.0010 0.3722
O 0.2864 0.1356 0.5123
O 0.2903 0.9282 0.0630
O 0.3722 0.2241 0.0010
O 0.4282 0.7903 0.5630
O 0.4397 0.5845 0.2234
O 0.5010 0.7241 0.8722
O 0.5123 0.2864 0.1356
O 0.5630 0.4282 0.7903
O 0.5845 0.2234 0.4397
O 0.6356 0.7864 0.0123
O 0.7234 0.0845 0.9397
O 0.7241 0.8722 0.5010
O 0.7864 0.0123 0.6356
O 0.7903 0.5631 0.4282
O 0.8722 0.5010 0.7241
O 0.9282 0.0630 0.2903
O 0.9397 0.7234 0.0845

Principal peaks in the range 10° ≤ 2θ ≤ 80°, in order of rising 2θ:
Position (°2θ), intensity
14.13, 37
19.70, 66
20.35, 87
23.60, 100
28.47, 50
31.50, 93
35.64, 33
45.29, 22
48.29, 27
55.74, 25



Theoretical powder diffractogram
Compound: Mg6CrCuO8
Radiation: Cu Ka
Structure: a DFT-relaxed cell (PBE+U, the Materials Project)

Atomic structure:
a = 4.2629 Å, b = 4.2629 Å, c = 8.5859 Å
α = 90.00°, β = 90.00°, γ = 90.00°
Positions (direct):
Mg 0.0000 0.0000 0.0000
Mg 0.0000 0.5000 0.2508
Mg 0.0000 0.5000 0.7492
Mg 0.5000 0.0000 0.2508
Mg 0.5000 0.0000 0.7492
Mg 0.5000 0.5000 0.0000
Cr 0.0000 0.0000 0.5000
Cu 0.5000 0.5000 0.5000
O 0.0000 0.0000 0.2562
O 0.0000 0.0000 0.7438
O 0.0000 0.5000 0.0000
O 0.0000 0.5000 0.5000
O 0.5000 0.0000 0.0000
O 0.5000 0.0000 0.5000
O 0.5000 0.5000 0.2388
O 0.5000 0.5000 0.7612

Principal peaks in the range 10° ≤ 2θ ≤ 80°, in order of rising 2θ:
Position (°2θ), intensity
10.30, 47
20.69, 11
31.45, 14
36.42, 41
42.10, 51
42.41, 100
61.29, 57
61.53, 28
73.66, 13
77.37, 26